No. 1
KCe4S8: theoretical powder diffractogram (Cu Kα X-rays), based on a cell relaxed with PBE.
Neutral-atom scattering factors, no anomalous dispersion.

Unit cell a=8.280 b=8.280 c=10.384 alpha=126.14 beta=126.14 gamma=60.06
Fractional coordinates of all 13 atoms:
K 0.000 0.000 0.000
Ce 0.252 0.748 0.500
Ce 0.267 0.267 0.533
Ce 0.733 0.733 0.467
Ce 0.748 0.252 0.500
S 0.007 0.007 0.332
S 0.010 0.477 0.320
S 0.477 0.010 0.320
S 0.484 0.484 0.310
S 0.516 0.516 0.690
S 0.523 0.990 0.680
S 0.990 0.523 0.680
S 0.993 0.993 0.668

Most intense lines, 5° ≤ 2θ ≤ 70°, sorted by position:
d (Å)	Position (°2θ)	I/Imax
7.602	11.64	1000
3.801	23.40	80
3.586	24.83	278
3.256	27.39	187
3.236	27.57	318
2.621	34.21	219
2.601	34.49	259
2.074	43.64	154
2.070	43.73	137
2.001	45.32	133

---

No. 2
KCeS3: theoretical powder diffractogram (Cu Kα X-rays), based on a cell relaxed with PBE.
Neutral-atom scattering factors, no anomalous dispersion.

Unit cell a=12.740 b=12.740 c=7.160 alpha=102.29 beta=102.29 gamma=18.63
Fractional coordinates of all 10 atoms:
K 0.091 0.091 0.114
K 0.909 0.909 0.886
Ce 0.258 0.258 0.259
Ce 0.742 0.742 0.741
S 0.190 0.190 0.518
S 0.305 0.305 0.941
S 0.495 0.495 0.137
S 0.505 0.505 0.863
S 0.695 0.695 0.059
S 0.810 0.810 0.482

Most intense lines, 5° ≤ 2θ ≤ 70°, sorted by position:
d (Å)	Position (°2θ)	I/Imax
12.276	7.20	1000
6.138	14.43	280
3.571	24.93	166
3.462	25.73	153
3.136	28.47	79
2.739	32.69	223
2.645	33.89	79
2.601	34.48	90
2.062	43.91	152
1.991	45.56	60

---

No. 3
K2CeSbS4: theoretical powder diffractogram (Cu Kα X-rays), based on a cell relaxed with PBE.
Neutral-atom scattering factors, no anomalous dispersion.

Unit cell a=8.503 b=8.503 c=8.503 alpha=119.79 beta=119.72 gamma=90.43
Fractional coordinates of all 16 atoms:
K 0.000 0.000 0.000
K 0.500 0.000 0.000
K 0.500 0.000 0.500
K 0.500 0.500 0.500
Ce 0.000 0.000 0.500
Ce 0.000 0.500 0.000
Sb 0.000 0.500 0.500
Sb 0.500 0.500 0.000
S 0.206 0.734 0.472
S 0.237 0.268 0.531
S 0.237 0.706 0.969
S 0.238 0.266 0.972
S 0.762 0.734 0.028
S 0.763 0.294 0.031
S 0.763 0.732 0.469
S 0.794 0.266 0.528

Most intense lines, 5° ≤ 2θ ≤ 70°, sorted by position:
d (Å)	Position (°2θ)	I/Imax
6.952	12.73	761
3.637	24.48	195
3.476	25.63	588
3.018	29.60	1000
2.995	29.83	490
2.322	38.78	153
2.134	42.36	343
2.126	42.53	679
1.818	50.17	227
1.738	52.67	339

---

No. 4
KCeSeS: theoretical powder diffractogram (Cu Kα X-rays), based on a cell relaxed with PBE.
Neutral-atom scattering factors, no anomalous dispersion.

Unit cell a=8.120 b=8.120 c=8.120 alpha=30.41 beta=30.41 gamma=30.41
Fractional coordinates of all 4 atoms:
K 0.000 0.000 0.000
Ce 0.165 0.165 0.165
Se 0.571 0.571 0.571
S 0.768 0.768 0.768

Most intense lines, 5° ≤ 2θ ≤ 70°, sorted by position:
d (Å)	Position (°2θ)	I/Imax
7.739	11.43	788
3.516	25.33	690
2.888	30.96	1000
2.466	36.43	421
2.281	39.51	126
2.130	42.44	464
2.053	44.10	182
1.965	46.20	231
1.714	53.45	204
1.432	65.14	171

---

No. 5
KCeSiS4: theoretical powder diffractogram (Cu Kα X-rays), based on a cell relaxed with PBE.
Neutral-atom scattering factors, no anomalous dispersion.

Unit cell a=6.589 b=6.714 c=8.797 alpha=90.00 beta=107.14 gamma=90.00
Fractional coordinates of all 14 atoms:
K 0.226 0.000 0.433
K 0.774 0.500 0.567
Ce 0.271 0.021 0.949
Ce 0.729 0.521 0.051
Si 0.281 0.488 0.180
Si 0.719 0.988 0.820
S 0.086 0.488 0.332
S 0.095 0.444 0.938
S 0.472 0.751 0.210
S 0.487 0.755 0.772
S 0.513 0.255 0.228
S 0.528 0.251 0.790
S 0.905 0.944 0.062
S 0.914 0.988 0.668

Most intense lines, 5° ≤ 2θ ≤ 70°, sorted by position:
d (Å)	Position (°2θ)	I/Imax
8.407	10.52	1000
5.246	16.90	206
4.593	19.33	358
3.357	26.55	250
2.975	30.03	237
2.814	31.80	343
2.720	32.93	248
2.623	34.18	215
2.597	34.54	217
2.296	39.23	253

---

No. 6
KCeY4S8: theoretical powder diffractogram (Cu Kα X-rays), based on a cell relaxed with PBE.
Neutral-atom scattering factors, no anomalous dispersion.

Unit cell a=8.340 b=8.340 c=8.340 alpha=59.06 beta=59.06 gamma=59.06
Fractional coordinates of all 14 atoms:
K 0.000 0.000 0.000
Ce 0.631 0.631 0.631
Y 0.115 0.632 0.632
Y 0.253 0.253 0.253
Y 0.632 0.115 0.632
Y 0.632 0.632 0.115
S 0.380 0.380 0.858
S 0.380 0.858 0.380
S 0.385 0.385 0.385
S 0.426 0.865 0.865
S 0.858 0.380 0.380
S 0.860 0.860 0.860
S 0.865 0.426 0.865
S 0.865 0.865 0.426

Most intense lines, 5° ≤ 2θ ≤ 70°, sorted by position:
d (Å)	Position (°2θ)	I/Imax
6.728	13.16	615
4.111	21.62	257
3.562	25.00	484
3.526	25.26	1000
3.508	25.39	226
2.927	30.54	865
2.252	40.03	414
2.243	40.21	307
2.085	43.41	660
2.055	44.06	647

---

No. 7
KCe2ZnS5: theoretical powder diffractogram (Cu Kα X-rays), based on a cell relaxed with PBE.
Neutral-atom scattering factors, no anomalous dispersion.

Unit cell a=8.825 b=8.825 c=8.825 alpha=127.35 beta=127.35 gamma=77.68
Fractional coordinates of all 18 atoms:
K 0.250 0.250 0.000
K 0.750 0.750 0.000
Ce 0.164 0.664 0.828
Ce 0.336 0.164 0.500
Ce 0.664 0.836 0.500
Ce 0.836 0.336 0.172
Zn 0.250 0.750 0.500
Zn 0.750 0.250 0.500
S 0.000 0.000 0.000
S 0.017 0.227 0.500
S 0.227 0.727 0.210
S 0.273 0.483 0.500
S 0.483 0.983 0.210
S 0.500 0.500 0.000
S 0.517 0.017 0.790
S 0.727 0.517 0.500
S 0.773 0.273 0.790
S 0.983 0.773 0.500

Most intense lines, 5° ≤ 2θ ≤ 70°, sorted by position:
d (Å)	Position (°2θ)	I/Imax
6.874	12.88	507
5.535	16.01	241
3.437	25.92	220
3.397	26.23	836
2.782	32.18	1000
2.475	36.29	208
2.329	38.66	306
2.162	41.78	439
1.881	48.38	207
1.754	52.15	170

---

No. 8
K4Ce3Se8: theoretical powder diffractogram (Cu Kα X-rays), based on a cell relaxed with PBE.
Neutral-atom scattering factors, no anomalous dispersion.

Unit cell a=9.586 b=9.586 c=9.586 alpha=54.12 beta=54.12 gamma=54.12
Fractional coordinates of all 15 atoms:
K 0.000 0.000 0.000
K 0.143 0.143 0.143
K 0.500 0.500 0.500
K 0.857 0.857 0.857
Ce 0.000 0.500 0.500
Ce 0.500 0.000 0.500
Ce 0.500 0.500 0.000
Se 0.248 0.248 0.697
Se 0.248 0.697 0.248
Se 0.273 0.273 0.273
Se 0.303 0.752 0.752
Se 0.697 0.248 0.248
Se 0.727 0.727 0.727
Se 0.752 0.303 0.752
Se 0.752 0.752 0.303

Most intense lines, 5° ≤ 2θ ≤ 70°, sorted by position:
d (Å)	Position (°2θ)	I/Imax
8.157	10.85	1000
7.217	12.26	170
3.732	23.84	232
3.213	27.76	972
2.565	34.98	532
2.377	37.85	351
2.180	41.42	464
2.106	42.94	198
1.917	47.43	212
1.804	50.59	164